MnPHO3: simulated powder X-ray diffraction pattern (copper Kα), based on a crystal structure in the Materials Project, relaxed with GGA+U.
No peak broadening, texture or thermal motion is included.

Main lines, low angle first (15° ≤ 2θ ≤ 90°):
2θ = 15.35°, d = 5.771 Å, I = 26; 2θ = 16.88°, d = 5.254 Å, I = 60; 2θ = 23.93°, d = 3.718 Å, I = 26; 2θ = 24.68°, d = 3.607 Å, I = 33; 2θ = 27.17°, d = 3.283 Å, I = 100; 2θ = 30.25°, d = 2.955 Å, I = 42; 2θ = 30.87°, d = 2.897 Å, I = 45; 2θ = 33.54°, d = 2.672 Å, I = 36; 2θ = 34.22°, d = 2.621 Å, I = 31; 2θ = 40.28°, d = 2.239 Å, I = 28

```
48
Lattice="8.173 0.000 0.000 0.000 8.422 0.000 -5.985 0.000 8.658" Properties=species:S:1:pos:R:3 pbc="T T T"
Mn 0.115 1.782 0.116
Mn -2.878 2.429 4.445
Mn -2.623 1.110 7.572
Mn 0.369 3.101 3.243
Mn 1.819 5.321 5.415
Mn 4.812 7.312 1.086
Mn 5.066 5.993 4.213
Mn 2.074 6.640 8.542
P -1.132 0.095 2.701
P -4.124 4.116 7.030
P 2.275 5.482 2.058
P -0.718 7.150 6.387
P 2.906 1.271 2.271
P -0.087 2.939 6.600
P 6.312 4.306 1.628
P 3.320 8.327 5.957
H -3.038 4.833 7.563
H -0.046 7.799 3.234
H 2.469 4.323 1.284
H -0.524 8.310 5.613
H 2.712 0.112 3.045
H -0.281 4.099 7.374
H 2.234 0.623 5.424
H 5.226 3.588 1.095
O -2.050 4.359 3.171
O -5.043 8.273 7.500
O -3.561 0.698 5.659
O -0.568 3.512 1.330
O -1.162 1.475 3.395
O -4.154 2.736 7.724
O -1.547 6.160 5.590
O 1.445 6.472 1.261
O 1.495 1.823 1.942
O -1.497 2.388 6.271
O 1.570 4.981 3.352
O -1.423 7.652 7.681
O 3.611 0.770 0.977
O 0.619 3.441 5.307
O 3.686 6.034 2.387
O 0.693 6.598 6.716
O 0.743 1.950 7.397
O 3.735 2.261 3.068
O 6.342 5.686 0.935
O 3.350 6.946 5.264
O 2.756 4.909 7.328
O 5.749 7.723 2.999
O 7.231 0.148 1.158
O 4.238 4.062 5.487
```

---

SrEu2Fe2O7: simulated powder X-ray diffraction pattern (copper Kα), based on a crystal structure in the Materials Project, relaxed with GGA+U.
No peak broadening, texture or thermal motion is included.

Main lines, low angle first (15° ≤ 2θ ≤ 90°):
2θ = 26.79°, d = 3.327 Å, I = 23; 2θ = 32.30°, d = 2.772 Å, I = 100; 2θ = 33.01°, d = 2.713 Å, I = 65; 2θ = 42.94°, d = 2.106 Å, I = 24; 2θ = 45.24°, d = 2.004 Å, I = 12; 2θ = 47.38°, d = 1.919 Å, I = 36; 2θ = 55.24°, d = 1.663 Å, I = 12; 2θ = 57.13°, d = 1.612 Å, I = 13; 2θ = 58.51°, d = 1.578 Å, I = 37; 2θ = 67.59°, d = 1.386 Å, I = 13

```
24
Lattice="10.022 -2.713 0.000 10.022 2.713 0.000 0.000 0.000 5.427" Properties=species:S:1:pos:R:3 pbc="T T T"
Sr 10.022 1.367 4.070
Sr 10.022 -1.367 1.357
Eu 6.346 1.398 4.070
Eu 13.697 1.398 4.070
Eu 6.346 -1.398 1.357
Eu 13.697 -1.398 1.357
Fe 8.085 1.351 1.357
Fe 11.958 1.351 1.357
Fe 8.085 -1.351 4.070
Fe 11.958 -1.351 4.070
O 6.013 1.457 1.357
O 1.948 0.000 0.000
O 1.948 0.000 2.713
O 10.022 1.285 1.357
O 7.962 0.000 0.000
O 7.962 0.000 2.713
O 14.030 1.457 1.357
O 6.013 -1.457 4.070
O 12.082 0.000 0.000
O 12.082 0.000 2.713
O 10.022 -1.285 4.070
O 18.096 0.000 0.000
O 18.096 0.000 2.713
O 14.030 -1.457 4.070
```

---

Rb3Mo10O30: simulated powder X-ray diffraction pattern (copper Kα), based on a crystal structure in the Materials Project, relaxed with GGA+U.
No peak broadening, texture or thermal motion is included.

Main lines, low angle first (15° ≤ 2θ ≤ 90°):
2θ = 19.74°, d = 4.498 Å, I = 21; 2θ = 25.35°, d = 3.513 Å, I = 57; 2θ = 25.49°, d = 3.495 Å, I = 20; 2θ = 26.73°, d = 3.335 Å, I = 100; 2θ = 28.67°, d = 3.114 Å, I = 29; 2θ = 28.90°, d = 3.089 Å, I = 39; 2θ = 31.67°, d = 2.825 Å, I = 30; 2θ = 36.99°, d = 2.430 Å, I = 19; 2θ = 47.19°, d = 1.926 Å, I = 27; 2θ = 55.05°, d = 1.668 Å, I = 29

```
43
Lattice="9.554 -3.852 0.000 9.554 3.852 0.000 -5.110 0.000 9.009" Properties=species:S:1:pos:R:3 pbc="T T T"
Rb 0.000 0.000 0.000
Rb 2.048 0.000 7.047
Rb 11.949 0.000 1.962
Mo 6.083 1.923 1.414
Mo 5.304 1.974 4.869
Mo 3.618 0.000 2.951
Mo 8.693 1.974 4.140
Mo 7.914 1.923 7.595
Mo 6.083 -1.923 1.414
Mo 5.304 -1.974 4.869
Mo 10.379 0.000 6.058
Mo 8.693 -1.974 4.140
Mo 7.914 -1.923 7.595
O 4.777 1.926 0.000
O 4.310 1.863 3.050
O -1.010 0.000 4.413
O -1.515 0.000 7.465
O 4.173 2.001 6.173
O 2.693 0.000 1.485
O 7.532 1.695 0.508
O 6.978 1.888 3.195
O 2.423 0.000 4.216
O 7.019 1.888 5.814
O 9.824 2.001 2.836
O 5.618 0.000 1.699
O 6.465 1.695 8.501
O 5.271 0.000 4.578
O 9.687 1.863 5.959
O 4.777 -1.926 0.000
O 4.310 -1.863 3.050
O 8.726 0.000 4.431
O 7.532 -1.695 0.508
O 8.379 0.000 7.310
O 4.173 -2.001 6.173
O 6.978 -1.888 3.195
O 11.574 0.000 4.793
O 7.019 -1.888 5.814
O 6.465 -1.695 8.501
O 11.304 0.000 7.524
O 9.824 -2.001 2.836
O 15.512 0.000 1.544
O 15.007 0.000 4.596
O 9.687 -1.863 5.959
```

---

MgFe6O10F2: simulated powder X-ray diffraction pattern (copper Kα), based on a crystal structure in the Materials Project, relaxed with GGA+U.
No peak broadening, texture or thermal motion is included.

Main lines, low angle first (15° ≤ 2θ ≤ 90°):
2θ = 23.12°, d = 3.846 Å, I = 100; 2θ = 27.42°, d = 3.253 Å, I = 90; 2θ = 35.09°, d = 2.557 Å, I = 29; 2θ = 35.44°, d = 2.533 Å, I = 61; 2θ = 35.94°, d = 2.499 Å, I = 18; 2θ = 48.21°, d = 1.888 Å, I = 16; 2θ = 54.05°, d = 1.697 Å, I = 16; 2θ = 54.53°, d = 1.683 Å, I = 16; 2θ = 56.59°, d = 1.626 Å, I = 20; 2θ = 63.27°, d = 1.470 Å, I = 16

```
19
Lattice="5.701 0.000 0.000 0.768 5.915 0.000 2.060 1.986 6.552" Properties=species:S:1:pos:R:3 pbc="T T T"
Mg 0.000 0.000 0.000
Fe 3.117 4.868 1.145
Fe 4.172 5.749 4.278
Fe 4.274 1.845 2.155
Fe 5.378 2.641 5.290
Fe 7.780 5.159 6.419
Fe 7.024 3.943 3.115
O 1.413 5.408 1.851
O 2.458 4.901 4.522
O 3.862 6.162 6.171
O 2.998 3.295 2.212
O 4.036 6.101 2.354
O 4.483 1.470 4.036
O 5.425 4.262 4.268
O 6.693 6.842 6.458
O 4.505 1.612 0.195
O 5.861 2.892 1.845
F 3.794 2.948 6.410
F 7.229 2.276 4.520
```

---

MgFe6O10F2: simulated powder X-ray diffraction pattern (copper Kα), based on a crystal structure in the Materials Project, relaxed with GGA+U.
No peak broadening, texture or thermal motion is included.

Main lines, low angle first (15° ≤ 2θ ≤ 90°):
2θ = 23.26°, d = 3.824 Å, I = 100; 2θ = 27.79°, d = 3.210 Å, I = 94; 2θ = 28.52°, d = 3.130 Å, I = 26; 2θ = 31.21°, d = 2.866 Å, I = 51; 2θ = 34.70°, d = 2.585 Å, I = 31; 2θ = 34.87°, d = 2.573 Å, I = 31; 2θ = 35.10°, d = 2.556 Å, I = 27; 2θ = 35.38°, d = 2.537 Å, I = 26; 2θ = 41.18°, d = 2.192 Å, I = 26; 2θ = 54.62°, d = 1.680 Å, I = 38

```
19
Lattice="3.003 0.000 0.000 0.012 6.428 0.000 0.130 2.670 11.472" Properties=species:S:1:pos:R:3 pbc="T T T"
Mg 0.000 0.000 0.000
Fe 0.204 7.731 8.845
Fe 0.180 4.533 5.910
Fe 0.143 1.314 2.347
Fe 1.587 4.462 2.378
Fe 1.675 4.583 9.053
Fe 1.682 1.325 5.628
O 0.082 5.686 1.983
O 0.165 3.262 9.525
O 0.088 3.260 2.205
O 0.178 5.831 9.329
O 0.187 6.483 5.686
O 0.183 2.594 5.623
O 1.496 1.170 0.919
O 1.682 4.501 7.107
O 1.703 7.821 7.720
O 1.688 1.261 3.580
F 1.651 7.858 10.839
F 1.656 4.574 4.373
```

---

Li2NiBiO4: simulated powder X-ray diffraction pattern (copper Kα), based on a crystal structure in the Materials Project, relaxed with GGA+U.
No peak broadening, texture or thermal motion is included.

Main lines, low angle first (15° ≤ 2θ ≤ 90°):
2θ = 19.84°, d = 4.476 Å, I = 14; 2θ = 22.37°, d = 3.974 Å, I = 100; 2θ = 28.46°, d = 3.136 Å, I = 12; 2θ = 34.94°, d = 2.568 Å, I = 35; 2θ = 36.29°, d = 2.476 Å, I = 29; 2θ = 40.30°, d = 2.238 Å, I = 15; 2θ = 40.69°, d = 2.217 Å, I = 29; 2θ = 46.93°, d = 1.936 Å, I = 29; 2θ = 55.65°, d = 1.652 Å, I = 17; 2θ = 58.61°, d = 1.575 Å, I = 19

```
16
Lattice="3.134 -4.476 0.000 3.134 4.476 0.000 -0.012 0.000 6.275" Properties=species:S:1:pos:R:3 pbc="T T T"
Li 0.000 0.000 0.000
Li 4.692 -2.239 4.684
Li 1.565 -2.239 1.591
Li 3.128 0.000 3.137
Ni 4.699 -2.236 1.586
Ni 1.557 -2.236 4.688
Bi 3.128 -4.474 3.137
Bi 3.134 0.001 0.000
O 1.577 0.146 1.532
O 3.128 2.207 3.137
O 3.134 2.184 0.000
O 1.569 -0.142 4.743
O 4.679 0.146 4.743
O 3.134 -2.182 0.000
O 3.128 -2.205 3.137
O 4.687 -0.142 1.531
```